[1]
Diffraction record for Na2Be3H8. The powder diffractogram is computed, not measured: it uses the GGA-PBE geometry in Alexandria and CuKα.
Peak positions follow from Bragg's law for the DFT cell and can differ from measured ones.

Structural model:
```
data_Na2Be3H8
_chemical_formula_sum 'Na4 Be6 H16'
_space_group_name_H-M_alt 'C 1 2/m 1'
_space_group_IT_number 12
_space_group_name_Hall '-C 2y'
_cell_length_a 10.2430
_cell_length_b 5.0963
_cell_length_c 4.2397
_cell_angle_alpha 90.00
_cell_angle_beta 109.54
_cell_angle_gamma 90.00
loop_
_atom_site_label
_atom_site_type_symbol
_atom_site_fract_x
_atom_site_fract_y
_atom_site_fract_z
_atom_site_occupancy
Na1 Na 0.2214 0.0000 0.1725 1
Be1 Be 0.0000 0.2298 0.5000 1
Be2 Be 0.0000 0.5000 0.0000 1
H1 H 0.0853 0.2851 0.8758 1
H2 H 0.0914 0.5000 0.4027 1
H3 H 0.0955 0.0000 0.4682 1
```

Top 10 peaks for 2θ = 5–70°, sorted by position:
27.42 deg, intensity 78, hkl 1 1 -1; 32.18 deg, intensity 84, hkl 1 1 1; 32.92 deg, intensity 31, hkl 3 1 0; 33.56 deg, intensity 28, hkl 2 0 1; 34.23 deg, intensity 100, hkl 3 1 -1; 35.22 deg, intensity 28, hkl 0 2 0; 37.26 deg, intensity 28, hkl 4 0 0; 40.01 deg, intensity 53, hkl 2 2 0; 42.82 deg, intensity 24, hkl 2 0 -2; 48.42 deg, intensity 24, hkl 5 1 -1

---

[2]
Diffraction record for Na3BeH6. The powder diffractogram is computed, not measured: it uses the GGA-PBE geometry in Alexandria and CuKα.
Peak positions follow from Bragg's law for the DFT cell and can differ from measured ones.

Structural model:
```
data_Na3BeH6
_chemical_formula_sum 'Na6 Be2 H12'
_space_group_name_H-M_alt 'I m m m'
_space_group_IT_number 71
_space_group_name_Hall '-I 2 2'
_cell_length_a 4.7358
_cell_length_b 4.8086
_cell_length_c 8.6995
_cell_angle_alpha 90.00
_cell_angle_beta 90.00
_cell_angle_gamma 90.00
loop_
_atom_site_label
_atom_site_type_symbol
_atom_site_fract_x
_atom_site_fract_y
_atom_site_fract_z
_atom_site_occupancy
Na1 Na 0.0000 0.0000 0.0000 1
Na2 Na 0.0000 0.5000 0.2515 1
Be1 Be 0.0000 0.0000 0.5000 1
H1 H 0.0000 0.0000 0.2597 1
H2 H 0.0000 0.3078 0.5000 1
H3 H 0.1801 0.5000 0.0000 1
```

Top 10 peaks for 2θ = 5–70°, sorted by position:
21.11 deg, intensity 7, hkl 0 1 1; 33.62 deg, intensity 100, hkl 1 1 2; 37.40 deg, intensity 23, hkl 0 2 0; 38.00 deg, intensity 22, hkl 2 0 0; 41.52 deg, intensity 18, hkl 0 0 4; 54.38 deg, intensity 13, hkl 2 2 0; 57.11 deg, intensity 12, hkl 0 2 4; 57.54 deg, intensity 11, hkl 2 0 4; 65.07 deg, intensity 14, hkl 1 3 2; 65.87 deg, intensity 13, hkl 3 1 2

---

[3]
Diffraction record for NaBeH. The powder diffractogram is computed, not measured: it uses the GGA-PBE geometry in Alexandria and CuKα.
Peak positions follow from Bragg's law for the DFT cell and can differ from measured ones.

Structural model:
```
data_NaBeH
_chemical_formula_sum 'Na4 Be4 H4'
_space_group_name_H-M_alt 'C 1 2 1'
_space_group_IT_number 5
_space_group_name_Hall 'C 2y'
_cell_length_a 8.9416
_cell_length_b 4.9093
_cell_length_c 4.0022
_cell_angle_alpha 90.00
_cell_angle_beta 90.20
_cell_angle_gamma 90.00
loop_
_atom_site_label
_atom_site_type_symbol
_atom_site_fract_x
_atom_site_fract_y
_atom_site_fract_z
_atom_site_occupancy
Na1 Na 0.1671 0.0000 0.2504 1
Be1 Be 0.0000 0.4898 0.0000 1
Be2 Be 0.0000 0.4896 0.5000 1
H1 H 0.0676 0.6791 0.7505 1
```

Top 10 peaks for 2θ = 5–70°, sorted by position:
29.91 deg, intensity 23, hkl 2 0 -1; 30.02 deg, intensity 22, hkl 2 0 1; 30.50 deg, intensity 100, hkl 1 1 1; 35.23 deg, intensity 68, hkl 3 1 0; 36.61 deg, intensity 28, hkl 0 2 0; 48.01 deg, intensity 27, hkl 2 2 -1; 50.28 deg, intensity 15, hkl 1 1 -2; 59.61 deg, intensity 10, hkl 5 1 -1; 62.16 deg, intensity 12, hkl 1 3 1; 65.02 deg, intensity 9, hkl 3 3 0

---

Number 3 is which compound? NaBeH